Diffraction record for Ce5Bi2C2. The powder diffractogram is computed, not measured: it uses a DFT-relaxed cell (PBE, Alexandria) and copper Kα.
Peak positions follow from Bragg's law for the DFT cell and can differ from measured ones.

Crystal structure
Unit cell a=12.711 b=4.427 c=8.284 alpha=90.00 beta=92.80 gamma=90.00
Space group C2/m (No. 12)
Unique sites:
Ce: 0.000 0.000 0.000
Ce: 0.126 0.000 0.592
Ce: 0.236 0.500 0.842
Bi: 0.072 0.500 0.290
C: 0.168 0.000 0.895

Main lines, low angle first (2θ from 10° to 80°):
- 29.6°, d 3.013, I 48, (4 0 -1)
- 30.1°, d 2.965, I 100, (1 1 -2)
- 31.5°, d 2.837, I 91, (3 1 1)
- 36.1°, d 2.486, I 35, (2 0 3)
- 40.8°, d 2.214, I 25, (0 2 0)
- 51.2°, d 1.784, I 21, (4 2 -1)
- 52.0°, d 1.758, I 16, (5 1 -3)
- 54.7°, d 1.678, I 15, (7 1 0)
- 55.6°, d 1.653, I 20, (2 2 3)
- 60.5°, d 1.530, I 17, (1 1 5)